(1)
Theoretical powder X-ray diffraction pattern of ThFe3 for λ = 1.5418 Å (Cu Kα), from a crystal structure in the Materials Project, relaxed with PBE.

Peak list (10 most intense, 2θ from 10° to 90°, low angle first)
d_spacing, I (rel.)
4.384, 35
2.785, 66
2.571, 65
2.557, 42
2.218, 39
2.188, 100
1.522, 22
1.482, 16
1.398, 35
1.286, 19

Structural model:
Lattice parameters (Å, degrees): 8.8404 8.8404 8.8404 33.82 33.82 33.82
Fractional coordinates of all 12 atoms:
Th1 0.0000 0.0000 0.0000
Th2 0.1412 0.1412 0.1412
Th3 0.8588 0.8588 0.8588
Fe1 0.0832 0.5803 0.5803
Fe2 0.3326 0.3326 0.3326
Fe3 0.4197 0.4197 0.9168
Fe4 0.4197 0.9168 0.4197
Fe5 0.5000 0.5000 0.5000
Fe6 0.5803 0.0832 0.5803
Fe7 0.5803 0.5803 0.0832
Fe8 0.6674 0.6674 0.6674
Fe9 0.9168 0.4197 0.4197

---

(2)
Theoretical powder X-ray diffraction pattern of Th2Fe17 for λ = 1.5418 Å (Cu Kα), from a crystal structure in the Materials Project, relaxed with PBE.

Peak list (10 most intense, 2θ from 10° to 90°, low angle first)
d_spacing, I (rel.)
4.258, 19
2.984, 63
2.458, 46
2.390, 27
2.129, 61
2.120, 100
2.092, 30
2.084, 21
1.502, 24
1.492, 20

Structural model:
Lattice parameters (Å, degrees): 6.4562 6.4562 6.4562 82.52 82.52 82.52
Fractional coordinates of all 19 atoms:
Th1 0.1587 0.1587 0.1587
Th2 0.8413 0.8413 0.8413
Fe1 0.0000 0.5000 0.5000
Fe2 0.1583 0.1583 0.6563
Fe3 0.1583 0.6563 0.1583
Fe4 0.2099 0.5000 0.7901
Fe5 0.2099 0.7901 0.5000
Fe6 0.3437 0.8417 0.8417
Fe7 0.4044 0.4044 0.4044
Fe8 0.5000 0.0000 0.5000
Fe9 0.5000 0.2099 0.7901
Fe10 0.5000 0.5000 0.0000
Fe11 0.5000 0.7901 0.2099
Fe12 0.5956 0.5956 0.5956
Fe13 0.6563 0.1583 0.1583
Fe14 0.7901 0.2099 0.5000
Fe15 0.7901 0.5000 0.2099
Fe16 0.8417 0.3437 0.8417
Fe17 0.8417 0.8417 0.3437

---

(3)
Theoretical powder X-ray diffraction pattern of Ti3Fe for λ = 1.5418 Å (Cu Kα), from a crystal structure in the Materials Project, relaxed with PBE.

Peak list (10 most intense, 2θ from 10° to 90°, low angle first)
d_spacing, I (rel.)
8.042, 16
2.597, 32
2.181, 100
2.010, 13
1.865, 9
1.590, 10
1.499, 20
1.236, 13
1.202, 12
1.191, 6

Structural model:
Lattice parameters (Å, degrees): 2.9986 2.9986 8.0416 90.00 90.00 120.00
Fractional coordinates of all 4 atoms:
Ti1 0.0000 0.0000 0.0000
Ti2 0.6667 0.3333 0.2849
Ti3 0.6667 0.3333 0.7151
Fe1 0.0000 0.0000 0.5000

---

(4)
Theoretical powder X-ray diffraction pattern of TiFe for λ = 1.5418 Å (Cu Kα), from a crystal structure in the Materials Project, relaxed with PBE.

Peak list (5 most intense, 2θ from 10° to 90°, low angle first)
d_spacing, I (rel.)
2.960, 2
2.093, 100
1.480, 15
1.324, 1
1.208, 28

Structural model:
Lattice parameters (Å, degrees): 2.9598 2.9598 2.9598 90.00 90.00 90.00
Fractional coordinates of all 2 atoms:
Ti1 0.0000 0.0000 0.0000
Fe1 0.5000 0.5000 0.5000

---

(5)
Theoretical powder X-ray diffraction pattern of TiFe for λ = 1.5418 Å (Cu Kα), from a crystal structure in the Materials Project, relaxed with PBE.

Peak list (10 most intense, 2θ from 10° to 90°, low angle first)
d_spacing, I (rel.)
2.203, 28
2.132, 100
1.921, 18
1.575, 9
1.448, 13
1.281, 8
1.258, 15
1.218, 7
1.145, 11
1.102, 2

Structural model:
Lattice parameters (Å, degrees): 2.7084 2.7084 3.8411 90.00 90.00 108.88
Fractional coordinates of all 2 atoms:
Ti1 0.0000 0.0000 0.0000
Fe1 0.5000 0.5000 0.5000

---

(6)
Theoretical powder X-ray diffraction pattern of UTiFe for λ = 1.5418 Å (Cu Kα), from a crystal structure in the Materials Project, relaxed with PBE.

Peak list (10 most intense, 2θ from 10° to 90°, low angle first)
d_spacing, I (rel.)
4.099, 71
2.885, 44
2.713, 31
2.453, 88
2.359, 100
2.285, 56
1.961, 41
1.569, 23
1.488, 24
1.227, 23

Structural model:
Lattice parameters (Å, degrees): 5.0467 5.0467 5.0467 114.96 110.26 103.40
Fractional coordinates of all 6 atoms:
U1 0.3437 0.0937 0.2500
U2 0.6563 0.9063 0.7500
Ti1 0.0000 0.5000 0.5000
Ti2 0.5000 0.5000 0.0000
Fe1 0.0000 0.0000 0.5000
Fe2 0.0000 0.5000 0.0000

---

(7)
Theoretical powder X-ray diffraction pattern of Zr3TiFe8 for λ = 1.5418 Å (Cu Kα), from a crystal structure in the Materials Project, relaxed with PBE.

Peak list (10 most intense, 2θ from 10° to 90°, low angle first)
d_spacing, I (rel.)
8.074, 1
4.221, 1
2.474, 39
2.110, 100
2.020, 30
1.749, 1
1.428, 13
1.347, 28
1.237, 23
1.106, 6

Structural model:
Lattice parameters (Å, degrees): 8.5643 8.5643 8.5643 33.59 33.59 33.59
Fractional coordinates of all 12 atoms:
Zr1 0.0000 0.0000 0.0000
Zr2 0.1262 0.1262 0.1262
Zr3 0.6236 0.6236 0.6236
Ti1 0.4998 0.4998 0.4998
Fe1 0.0616 0.0616 0.5617
Fe2 0.0616 0.5617 0.0616
Fe3 0.0644 0.5624 0.5624
Fe4 0.3124 0.3124 0.3124
Fe5 0.5617 0.0616 0.0616
Fe6 0.5624 0.0644 0.5624
Fe7 0.5624 0.5624 0.0644
Fe8 0.8126 0.8126 0.8126

---

(8)
Theoretical powder X-ray diffraction pattern of TmFe2 for λ = 1.5418 Å (Cu Kα), from a crystal structure in the Materials Project, relaxed with PBE.

Peak list (10 most intense, 2θ from 10° to 90°, low angle first)
d_spacing, I (rel.)
4.148, 20
2.540, 71
2.166, 100
2.074, 13
1.648, 5
1.467, 26
1.383, 30
1.270, 22
1.136, 12
1.096, 11

Structural model:
Lattice parameters (Å, degrees): 5.0805 5.0805 5.0805 60.00 60.00 60.00
Fractional coordinates of all 6 atoms:
Tm1 0.1250 0.1250 0.1250
Tm2 0.8750 0.8750 0.8750
Fe1 0.0000 0.5000 0.5000
Fe2 0.5000 0.0000 0.5000
Fe3 0.5000 0.5000 0.0000
Fe4 0.5000 0.5000 0.5000